Record 1
Simulated PXRD pattern of Li10SiP2Se12 for λ = 1.5418 Å (Cu Kα), from a cell relaxed with PBE.
No peak broadening, texture or thermal motion is included.

Peak list (10 most intense, 2θ from 15° to 90°, low angle first)
| 2θ/deg | I (rel.) |
| --- | --- |
| 22.74 | 16.1 |
| 26.92 | 27.8 |
| 27.35 | 27.7 |
| 27.54 | 36.7 |
| 27.73 | 100.0 |
| 28.03 | 45.8 |
| 29.15 | 17.2 |
| 39.94 | 17.6 |
| 43.67 | 12.9 |
| 49.68 | 16.3 |

Crystal structure
a = 9.030 Å, b = 9.370 Å, c = 13.638 Å
α = 91.75°, β = 90.68°, γ = 90.35°
Fractional positions:
Li (0.000, 0.000, 0.000)
Li (0.001, 0.528, 0.887)
Li (0.011, 0.495, 0.120)
Li (0.011, 0.984, 0.286)
Li (0.018, 0.533, 0.643)
Li (0.027, 0.065, 0.794)
Li (0.232, 0.290, 0.388)
Li (0.267, 0.766, 0.684)
Li (0.279, 0.739, 0.184)
Li (0.501, 0.029, 0.493)
Li (0.512, 0.039, 0.769)
Li (0.515, 0.532, 0.645)
Li (0.516, 0.520, 0.917)
Li (0.524, 0.993, 0.986)
Li (0.533, 0.499, 0.327)
Li (0.554, 0.987, 0.262)
Li (0.736, 0.290, 0.061)
Li (0.758, 0.289, 0.592)
Li (0.989, 0.591, 0.392)
Li (0.995, 0.034, 0.556)
Si (0.278, 0.766, 0.452)
Si (0.767, 0.259, 0.819)
P (0.258, 0.783, 0.947)
P (0.262, 0.288, 0.629)
P (0.763, 0.739, 0.138)
P (0.779, 0.255, 0.321)
Se (0.056, 0.804, 0.852)
Se (0.058, 0.764, 0.540)
Se (0.059, 0.307, 0.534)
Se (0.255, 0.077, 0.698)
Se (0.257, 0.567, 0.012)
Se (0.263, 0.573, 0.342)
Se (0.266, 0.957, 0.062)
Se (0.267, 0.471, 0.738)
Se (0.286, 0.970, 0.361)
Se (0.460, 0.307, 0.532)
Se (0.462, 0.788, 0.855)
Se (0.482, 0.769, 0.553)
Se (0.552, 0.240, 0.906)
Se (0.566, 0.718, 0.230)
Se (0.579, 0.265, 0.223)
Se (0.759, 0.957, 0.080)
Se (0.762, 0.439, 0.428)
Se (0.770, 0.477, 0.743)
Se (0.773, 0.047, 0.398)
Se (0.775, 0.563, 0.022)
Se (0.776, 0.071, 0.705)
Se (0.967, 0.253, 0.926)
Se (0.973, 0.718, 0.227)
Se (0.990, 0.259, 0.235)

***

Record 2
Simulated PXRD pattern of MgSi2 for λ = 1.5418 Å (Cu Kα), from a cell relaxed with PBE.
No peak broadening, texture or thermal motion is included.

Peak list (10 most intense, 2θ from 15° to 90°, low angle first)
| 2θ/deg | I (rel.) |
| --- | --- |
| 37.36 | 32.6 |
| 37.58 | 70.9 |
| 37.88 | 28.6 |
| 38.44 | 58.0 |
| 38.81 | 100.0 |
| 40.00 | 32.0 |
| 41.30 | 36.3 |
| 41.79 | 29.5 |
| 51.41 | 40.8 |
| 68.00 | 29.6 |

Crystal structure
a = 5.229 Å, b = 5.229 Å, c = 12.247 Å
α = 107.18°, β = 107.18°, γ = 39.75°
Fractional positions:
Mg (0.000, 0.000, 0.000)
Mg (0.031, 0.031, 0.578)
Mg (0.512, 0.512, 0.788)
Mg (0.682, 0.682, 0.216)
Si (0.254, 0.254, 0.864)
Si (0.303, 0.303, 0.571)
Si (0.371, 0.371, 0.139)
Si (0.374, 0.374, 0.386)
Si (0.650, 0.650, 0.433)
Si (0.723, 0.723, 0.999)
Si (0.772, 0.772, 0.711)
Si (0.995, 0.995, 0.297)

***

Record 3
Simulated PXRD pattern of ErAlO3 for λ = 1.5418 Å (Cu Kα), from a cell relaxed with PBE.
No peak broadening, texture or thermal motion is included.

Peak list (10 most intense, 2θ from 15° to 90°, low angle first)
| 2θ/deg | I (rel.) |
| --- | --- |
| 24.08 | 56.8 |
| 34.32 | 100.0 |
| 42.36 | 41.7 |
| 49.32 | 32.6 |
| 55.61 | 25.8 |
| 61.46 | 38.9 |
| 72.32 | 19.4 |
| 77.49 | 12.7 |
| 82.55 | 17.4 |
| 87.56 | 14.0 |

Crystal structure
a = 3.695 Å, b = 3.695 Å, c = 3.695 Å
α = 90.00°, β = 90.00°, γ = 90.00°
Fractional positions:
Er (0.000, 0.000, 0.000)
Al (0.500, 0.500, 0.500)
O (0.000, 0.500, 0.500)
O (0.500, 0.000, 0.500)
O (0.500, 0.500, 0.000)

***

Record 4
Simulated PXRD pattern of KCuS for λ = 1.5418 Å (Cu Kα), from a cell relaxed with PBE.
No peak broadening, texture or thermal motion is included.

Peak list (10 most intense, 2θ from 15° to 90°, low angle first)
| 2θ/deg | I (rel.) |
| --- | --- |
| 16.32 | 83.3 |
| 16.54 | 78.3 |
| 23.42 | 39.6 |
| 28.34 | 25.9 |
| 28.73 | 100.0 |
| 37.19 | 34.1 |
| 37.67 | 73.1 |
| 47.91 | 41.5 |
| 48.24 | 26.9 |
| 56.52 | 24.1 |

Crystal structure
a = 10.716 Å, b = 5.315 Å, c = 6.299 Å
α = 90.00°, β = 90.00°, γ = 90.00°
Fractional positions:
K (0.154, 0.250, 0.023)
K (0.346, 0.750, 0.523)
K (0.654, 0.250, 0.477)
K (0.846, 0.750, 0.977)
Cu (0.000, 0.000, 0.500)
Cu (0.000, 0.500, 0.500)
Cu (0.500, 0.000, 0.000)
Cu (0.500, 0.500, 0.000)
S (0.089, 0.750, 0.276)
S (0.411, 0.250, 0.776)
S (0.589, 0.750, 0.224)
S (0.911, 0.250, 0.724)

***

Record 5
Simulated PXRD pattern of Pr6CdSi2S14 for λ = 1.5418 Å (Cu Kα), from a cell relaxed with PBE.
No peak broadening, texture or thermal motion is included.

Peak list (10 most intense, 2θ from 15° to 90°, low angle first)
| 2θ/deg | I (rel.) |
| --- | --- |
| 18.34 | 38.9 |
| 23.13 | 50.7 |
| 25.20 | 100.0 |
| 26.30 | 39.9 |
| 34.66 | 36.0 |
| 35.75 | 34.5 |
| 36.12 | 59.3 |
| 37.17 | 43.8 |
| 39.49 | 56.2 |
| 41.20 | 34.4 |

Crystal structure
a = 10.353 Å, b = 10.353 Å, c = 5.745 Å
α = 90.00°, β = 90.00°, γ = 120.00°
Fractional positions:
Pr (0.025, 0.569, 0.000)
Pr (0.309, 0.098, 0.498)
Pr (0.431, 0.456, 0.000)
Pr (0.544, 0.975, 0.000)
Pr (0.789, 0.691, 0.498)
Pr (0.902, 0.211, 0.498)
Cd (0.667, 0.333, 0.758)
Si (0.000, 0.000, 0.912)
Si (0.333, 0.667, 0.414)
S (0.000, 0.000, 0.280)
S (0.075, 0.857, 0.768)
S (0.143, 0.218, 0.768)
S (0.191, 0.449, 0.270)
S (0.259, 0.809, 0.270)
S (0.333, 0.667, 0.781)
S (0.412, 0.164, 0.006)
S (0.499, 0.420, 0.515)
S (0.551, 0.741, 0.270)
S (0.580, 0.079, 0.515)
S (0.752, 0.588, 0.006)
S (0.782, 0.925, 0.768)
S (0.836, 0.248, 0.006)
S (0.921, 0.501, 0.515)